No. 1
Computed X-ray diffraction stick pattern of VCo3Ge3 for a wavelength of 1.5418 Å, from the PBE geometry in Alexandria.
Lines closer than 0.1° are merged.

Cell lengths 6.9918, 6.9918, 4.3952 Å; angles 90.00, 90.00, 120.00 degrees
Space group P6_3/m (No. 176)
Symmetry-distinct sites (fractional):
V  0.3333  0.6667  0.2500 x2
Co  0.1042  0.6362  0.7500 x6
Ge  0.0275  0.7519  0.2500 x6

Most intense lines, 15 to 90 degrees two-theta, sorted by position:
2θ = 25.48°, d = 3.496 Å, rel. 7; 2θ = 32.73°, d = 2.736 Å, rel. 9; 2θ = 39.37°, d = 2.289 Å, rel. 26; 2θ = 41.07°, d = 2.198 Å, rel. 36; 2θ = 44.64°, d = 2.030 Å, rel. 100; 2θ = 58.20°, d = 1.585 Å, rel. 15; 2θ = 71.39°, d = 1.321 Å, rel. 9; 2θ = 77.33°, d = 1.234 Å, rel. 18; 2θ = 85.81°, d = 1.132 Å, rel. 11; 2θ = 88.24°, d = 1.107 Å, rel. 7

No. 2
Computed X-ray diffraction stick pattern of YCo5Ge3 for a wavelength of 1.5418 Å, from the PBE geometry in Alexandria.
Lines closer than 0.1° are merged.

Cell lengths 3.8141, 12.1516, 11.2274 Å; angles 90.00, 90.00, 90.00 degrees
Space group Cmcm (No. 63)
Symmetry-distinct sites (fractional):
Y  0.0000  0.1825  0.2500 x4
Co  0.0000  0.0000  0.0000 x4
Co  0.0000  0.1905  0.5625 x8
Co  0.0000  0.4498  0.1425 x8
Ge  0.0000  0.1054  0.7500 x4
Ge  0.0000  0.3767  0.5509 x8

Most intense lines, 15 to 90 degrees two-theta, sorted by position:
2θ = 30.48°, d = 2.932 Å, rel. 44; 2θ = 34.37°, d = 2.609 Å, rel. 100; 2θ = 36.09°, d = 2.489 Å, rel. 76; 2θ = 40.59°, d = 2.223 Å, rel. 76; 2θ = 44.19°, d = 2.050 Å, rel. 47; 2θ = 47.21°, d = 1.925 Å, rel. 48; 2θ = 47.58°, d = 1.911 Å, rel. 39; 2θ = 47.69°, d = 1.907 Å, rel. 87; 2θ = 51.29°, d = 1.781 Å, rel. 47; 2θ = 52.40°, d = 1.746 Å, rel. 41

No. 3
Computed X-ray diffraction stick pattern of Y2CoGe6 for a wavelength of 1.5418 Å, from the PBE geometry in Alexandria.
Lines closer than 0.1° are merged.

Cell lengths 4.0873, 3.9760, 21.5671 Å; angles 90.00, 90.00, 90.00 degrees
Space group Amm2 (No. 38)
Symmetry-distinct sites (fractional):
Y  0.0000  0.0000  0.0000 x2
Y  0.0000  0.0000  0.3375 x2
Co  0.5000  0.0000  0.5597 x2
Ge  0.0000  0.0000  0.6142 x2
Ge  0.0000  0.0000  0.7310 x2
Ge  0.5000  0.0000  0.1159 x2
Ge  0.5000  0.0000  0.2333 x2
Ge  0.5000  0.0000  0.4533 x2
Ge  0.5000  0.0000  0.8783 x2

Most intense lines, 15 to 90 degrees two-theta, sorted by position:
2θ = 33.21°, d = 2.697 Å, rel. 36; 2θ = 33.83°, d = 2.649 Å, rel. 100; 2θ = 37.84°, d = 2.378 Å, rel. 25; 2θ = 44.13°, d = 2.052 Å, rel. 15; 2θ = 44.32°, d = 2.044 Å, rel. 28; 2θ = 45.63°, d = 1.988 Å, rel. 26; 2θ = 49.71°, d = 1.834 Å, rel. 15; 2θ = 57.60°, d = 1.600 Å, rel. 14; 2θ = 65.50°, d = 1.425 Å, rel. 17; 2θ = 74.87°, d = 1.268 Å, rel. 15

Question: What is the formula in the first record?
Answer: VCo3Ge3